Diffraction record for LaNi4SnH6. The powder X-ray diffraction pattern is theoretical, not measured: it uses a structure optimized by DFT (PBE) and λ = 1.5418 Å (Cu Kα).

Atomic structure:
a b c (Å): 4.4085 4.4085 6.9093
angles (deg): 90.00 90.00 120.00
Positions (direct):
La: 0.0000 0.0000 0.0000
Ni: 0.3333 0.6667 0.3166
Ni: 0.3333 0.6667 0.6834
Ni: 0.6667 0.3333 0.3166
Ni: 0.6667 0.3333 0.6834
Sn: 0.0000 0.0000 0.5000
H: 0.0000 0.5000 0.1718
H: 0.0000 0.5000 0.8282
H: 0.5000 0.0000 0.1718
H: 0.5000 0.0000 0.8282
H: 0.5000 0.5000 0.1718
H: 0.5000 0.5000 0.8282

Top 12 peaks for 10 to 90 degrees two-theta, sorted by position:
(0 0 1), 2θ = 12.81°, intensity 11
(1 0 0), 2θ = 23.30°, intensity 17
(1 0 1), 2θ = 26.68°, intensity 8
(1 0 2), 2θ = 35.03°, intensity 100
(1 1 0), 2θ = 40.94°, intensity 72
(2 0 2), 2θ = 54.96°, intensity 27
(1 1 3), 2θ = 57.91°, intensity 12
(1 0 4), 2θ = 58.66°, intensity 14
(2 1 2), 2θ = 70.76°, intensity 25
(3 0 0), 2θ = 74.57°, intensity 12
(2 1 4), 2θ = 88.24°, intensity 9
(2 2 0), 2θ = 88.76°, intensity 9